For RbGaH, a cell relaxed with PBE gives the calculated PXRD pattern in this record (Cu Ka).
Intensities are scaled so that the largest is 100.

Crystal structure
a b c (Å): 4.620 4.620 10.252
angles (deg): 78.30 78.05 60.09
Fractional coordinates of all 6 atoms:
Rb 0.078 0.073 0.253
Rb 0.922 0.927 0.747
Ga 0.327 0.327 0.521
Ga 0.673 0.673 0.479
H 0.273 0.277 0.692
H 0.727 0.723 0.308

Most intense lines, 2θ from 15° to 90°, by angle:
2theta, Rel. int., (hkl)
25.11, 32, 1 0 -1
26.52, 52, 1 1 -1
26.89, 69, 1 0 2
27.00, 56, 0 1 2
30.36, 22, 0 1 -2
30.48, 22, 1 0 -2
32.40, 25, 1 1 -2
32.93, 21, 1 0 3
36.07, 36, 0 0 4
38.98, 100, 1 -1 0